# U3SbH3
Simulated powder diffraction line list, Cu Kα (λ = 1.5418 Å). Input: DFT lattice parameters and positions (PBE).
Kinematic intensities with the Lorentz-polarization factor, no thermal factor.

```
14
Lattice="6.111 0.000 0.000 0.000 6.111 0.000 0.000 0.000 6.111" Properties=species:S:1:pos:R:3 pbc="T T T"
U 0.000 1.528 3.056
U 0.000 4.583 3.056
U 1.528 3.056 0.000
U 3.056 0.000 1.528
U 3.056 0.000 4.583
U 4.583 3.056 0.000
Sb 0.000 0.000 0.000
Sb 3.056 3.056 3.056
H 0.000 3.056 1.528
H 0.000 3.056 4.583
H 1.528 0.000 3.056
H 3.056 1.528 0.000
H 3.056 4.583 0.000
H 4.583 0.000 3.056
```

Peak list (6 most intense, 10° ≤ 2θ ≤ 90°, most intense first)
- 2θ 32.77, intensity 100, (2 1 0)
- 2θ 36.00, intensity 47, (2 1 1)
- 2θ 56.33, intensity 26, (3 2 1)
- 2θ 54.11, intensity 25, (3 2 0)
- 2θ 70.63, intensity 24, (4 2 1)
- 2θ 85.58, intensity 23, (5 2 0)


# SrCa2Pt
Simulated powder diffraction line list, Cu Kα (λ = 1.5418 Å). Input: DFT lattice parameters and positions (PBE).
Kinematic intensities with the Lorentz-polarization factor, no thermal factor.

```
16
Lattice="7.980 0.000 0.000 0.000 9.752 0.000 0.000 0.000 6.657" Properties=species:S:1:pos:R:3 pbc="T T T"
Sr 0.300 2.438 0.884
Sr 3.690 7.314 4.213
Sr 4.291 2.438 2.444
Sr 7.680 7.314 5.773
Ca 1.343 0.650 4.367
Ca 1.343 4.226 4.367
Ca 2.647 5.526 1.039
Ca 2.647 9.102 1.039
Ca 5.333 0.650 5.618
Ca 5.333 4.226 5.618
Ca 6.637 5.526 2.290
Ca 6.637 9.102 2.290
Pt 0.957 7.314 2.857
Pt 3.033 2.438 6.185
Pt 4.948 7.314 0.472
Pt 7.023 2.438 3.800
```

Peak list (6 most intense, 10° ≤ 2θ ≤ 90°, most intense first)
- 2θ 30.51, intensity 100, (1 1 2)
- 2θ 18.19, intensity 93, (0 2 0)
- 2θ 19.61, intensity 85, (1 1 1)
- 2θ 32.63, intensity 71, (1 3 1)
- 2θ 36.35, intensity 53, (3 0 1)
- 2θ 31.95, intensity 46, (2 2 1)